No. 1
Diffraction record for ScCr2P. The powder X-ray diffraction pattern is computed, not measured: it uses DFT lattice parameters and positions (GGA-PBE) and CuKα.

Cell and atoms:
```
ScCr2P
1.0
3.904 0.000 0.000
-1.952 3.381 0.000
0.000 0.000 13.651
Sc Cr P
3 6 3
direct
0.000 0.000 0.000
0.333 0.667 0.667
0.667 0.333 0.333
0.000 0.000 0.206
0.000 0.000 0.498
0.333 0.667 0.164
0.333 0.667 0.873
0.667 0.333 0.539
0.667 0.333 0.831
0.000 0.000 0.795
0.333 0.667 0.462
0.667 0.333 0.129
```

Largest 6 diffraction maxima, sorted by position, 2θ = 5–70°:
2θ = 19.51°, d 4.550, I 54
2θ = 37.44°, d 2.402, I 100
2θ = 46.53°, d 1.952, I 90
2θ = 50.90°, d 1.794, I 21
2θ = 61.18°, d 1.515, I 21
2θ = 62.72°, d 1.481, I 23



No. 2
Diffraction record for Y8Ho4Tm3. The powder X-ray diffraction pattern is computed, not measured: it uses DFT lattice parameters and positions (GGA-PBE) and CuKα.

Cell and atoms:
```
Y8Ho4Tm3
1.0
3.458 1.996 11.700
-3.458 1.996 11.700
0.000 -3.992 11.700
Y Ho Tm
8 4 3
direct
0.245 0.245 0.245
0.248 0.750 0.750
0.250 0.250 0.752
0.250 0.752 0.250
0.750 0.248 0.750
0.750 0.750 0.248
0.752 0.250 0.250
0.755 0.755 0.755
0.000 0.000 0.000
0.336 0.336 0.336
0.500 0.500 0.500
0.664 0.664 0.664
0.000 0.000 0.500
0.000 0.500 0.000
0.500 0.000 0.000
```

Largest 6 diffraction maxima, sorted by position, 2θ = 5–70°:
2θ = 29.99°, d 2.980, I 55
2θ = 30.56°, d 2.925, I 67
2θ = 31.57°, d 2.834, I 100
2θ = 36.32°, d 2.473, I 73
2θ = 52.97°, d 1.729, I 43
2θ = 62.40°, d 1.488, I 51



No. 3
Diffraction record for Li3MgPCO7. The powder X-ray diffraction pattern is computed, not measured: it uses DFT lattice parameters and positions (GGA-PBE) and CuKα.

Cell and atoms:
```
Li3MgPCO7
1.0
5.009 0.000 0.000
0.000 6.448 0.000
-0.839 0.000 8.360
Li Mg P C O
6 2 2 2 14
direct
0.208 0.250 0.104
0.268 0.518 0.728
0.268 0.982 0.728
0.732 0.018 0.272
0.732 0.482 0.272
0.792 0.750 0.896
0.209 0.750 0.336
0.791 0.250 0.664
0.267 0.250 0.413
0.733 0.750 0.587
0.319 0.750 0.042
0.681 0.250 0.958
0.070 0.750 0.070
0.160 0.250 0.578
0.166 0.061 0.308
0.166 0.439 0.308
0.390 0.750 0.897
0.419 0.750 0.563
0.499 0.250 0.835
0.501 0.750 0.165
0.581 0.250 0.437
0.610 0.250 0.103
0.834 0.561 0.692
0.834 0.939 0.692
0.840 0.750 0.422
0.930 0.250 0.930
```

Largest 6 diffraction maxima, sorted by position, 2θ = 5–70°:
2θ = 10.58°, d 8.360, I 63
2θ = 21.65°, d 4.105, I 40
2θ = 25.73°, d 3.463, I 45
2θ = 27.67°, d 3.224, I 100
2θ = 35.15°, d 2.553, I 32
2θ = 36.58°, d 2.456, I 31



No. 4
Diffraction record for La2PrNd5Sc. The powder X-ray diffraction pattern is computed, not measured: it uses DFT lattice parameters and positions (GGA-PBE) and CuKα.

Cell and atoms:
```
La2PrNd5Sc
1.0
2.762 -11.086 0.000
2.762 11.086 0.000
0.000 0.000 10.309
La Pr Nd Sc
4 2 10 2
direct
0.118 0.882 0.500
0.118 0.882 0.983
0.882 0.118 0.000
0.882 0.118 0.483
0.397 0.603 0.742
0.603 0.397 0.242
0.000 0.000 0.242
0.000 0.000 0.742
0.276 0.724 0.554
0.277 0.723 0.931
0.373 0.627 0.242
0.500 0.500 0.492
0.500 0.500 0.992
0.627 0.373 0.742
0.723 0.277 0.431
0.724 0.276 0.054
0.215 0.785 0.242
0.785 0.215 0.742
```

Largest 6 diffraction maxima, sorted by position, 2θ = 5–70°:
2θ = 26.55°, d 3.358, I 39
2θ = 31.14°, d 2.872, I 100
2θ = 32.30°, d 2.771, I 17
2θ = 32.41°, d 2.762, I 35
2θ = 48.26°, d 1.886, I 22
2θ = 57.02°, d 1.615, I 18



No. 5
Diffraction record for U8Tc3Ru. The powder X-ray diffraction pattern is computed, not measured: it uses DFT lattice parameters and positions (GGA-PBE) and CuKα.

Cell and atoms:
```
U8Tc3Ru
1.0
5.709 0.000 0.000
-2.855 4.944 0.000
0.000 0.000 8.043
U Tc Ru
8 3 1
direct
0.000 0.000 0.000
0.000 0.000 0.500
0.181 0.361 0.250
0.181 0.819 0.250
0.361 0.180 0.749
0.639 0.819 0.250
0.820 0.180 0.749
0.820 0.639 0.749
0.333 0.667 0.555
0.333 0.667 0.943
0.667 0.333 0.444
0.667 0.333 0.058
```

Largest 6 diffraction maxima, sorted by position, 2θ = 5–70°:
2θ = 21.09°, d 4.212, I 33
2θ = 38.08°, d 2.363, I 100
2θ = 38.19°, d 2.357, I 38
2θ = 38.68°, d 2.328, I 84
2θ = 42.95°, d 2.106, I 42
2θ = 65.39°, d 1.427, I 29



No. 6
Diffraction record for Mg3Sc4. The powder X-ray diffraction pattern is computed, not measured: it uses DFT lattice parameters and positions (GGA-PBE) and CuKα.

Cell and atoms:
```
Mg3Sc4
1.0
3.243 0.000 0.000
0.000 3.243 0.000
0.000 0.000 31.695
Mg Sc
6 8
direct
0.000 0.000 0.000
0.000 0.000 0.285
0.000 0.000 0.715
0.500 0.500 0.215
0.500 0.500 0.500
0.500 0.500 0.785
0.000 0.000 0.143
0.000 0.000 0.428
0.000 0.000 0.572
0.000 0.000 0.857
0.500 0.500 0.072
0.500 0.500 0.357
0.500 0.500 0.643
0.500 0.500 0.928
```

Largest 6 diffraction maxima, sorted by position, 2θ = 5–70°:
2θ = 11.17°, d 7.924, I 12
2θ = 34.00°, d 2.637, I 100
2θ = 39.29°, d 2.293, I 33
2θ = 39.82°, d 2.264, I 16
2θ = 57.18°, d 1.611, I 20
2θ = 67.85°, d 1.381, I 23



No. 7
Diffraction record for NdHo5Er5. The powder X-ray diffraction pattern is computed, not measured: it uses DFT lattice parameters and positions (GGA-PBE) and CuKα.

Cell and atoms:
```
NdHo5Er5
1.0
6.775 0.000 0.000
2.039 6.635 0.000
1.852 1.442 7.905
Nd Ho Er
1 5 5
direct
0.000 0.000 0.000
0.000 0.500 0.000
0.158 0.629 0.359
0.324 0.764 0.656
0.676 0.236 0.344
0.842 0.371 0.641
0.211 0.138 0.318
0.353 0.250 0.715
0.500 0.500 0.000
0.647 0.750 0.285
0.789 0.862 0.682
```

Largest 6 diffraction maxima, sorted by position, 2θ = 5–70°:
2θ = 31.48°, d 2.842, I 60
2θ = 31.94°, d 2.802, I 100
2θ = 32.30°, d 2.771, I 98
2θ = 32.52°, d 2.753, I 71
2θ = 32.98°, d 2.716, I 76
2θ = 34.02°, d 2.635, I 67



No. 8
Diffraction record for Dy3Cd2Ag2. The powder X-ray diffraction pattern is computed, not measured: it uses DFT lattice parameters and positions (GGA-PBE) and CuKα.

Cell and atoms:
```
Dy3Cd2Ag2
1.0
4.536 0.000 0.000
0.000 21.817 0.000
0.000 0.000 3.449
Dy Cd Ag
6 4 4
direct
0.000 0.000 0.000
0.000 0.161 0.000
0.000 0.839 0.000
0.500 0.339 0.000
0.500 0.500 0.000
0.500 0.661 0.000
0.000 0.423 0.500
0.000 0.577 0.500
0.500 0.077 0.500
0.500 0.923 0.500
0.000 0.287 0.500
0.000 0.713 0.500
0.500 0.213 0.500
0.500 0.787 0.500
```

Largest 6 diffraction maxima, sorted by position, 2θ = 5–70°:
2θ = 32.88°, d 2.724, I 97
2θ = 34.93°, d 2.569, I 100
2θ = 35.89°, d 2.502, I 60
2θ = 39.75°, d 2.268, I 36
2θ = 54.62°, d 1.680, I 35
2θ = 65.15°, d 1.432, I 47



No. 9
Diffraction record for LaZn11Co. The powder X-ray diffraction pattern is computed, not measured: it uses DFT lattice parameters and positions (GGA-PBE) and CuKα.

Cell and atoms:
```
LaZn11Co
1.0
2.508 -6.400 0.000
2.508 6.400 0.000
-2.432 0.000 6.445
La Zn Co
1 11 1
direct
0.000 0.000 0.000
0.000 0.000 0.500
0.000 0.500 0.000
0.025 0.369 0.363
0.285 0.504 0.771
0.369 0.025 0.363
0.496 0.715 0.229
0.500 0.000 0.000
0.504 0.285 0.771
0.631 0.975 0.637
0.715 0.496 0.229
0.975 0.631 0.637
0.500 0.500 0.500
```

Largest 6 diffraction maxima, sorted by position, 2θ = 5–70°:
2θ = 34.74°, d 2.583, I 25
2θ = 39.71°, d 2.270, I 100
2θ = 40.15°, d 2.246, I 74
2θ = 40.96°, d 2.203, I 41
2θ = 41.27°, d 2.188, I 32
2θ = 45.98°, d 1.974, I 24



No. 10
Diffraction record for PmY2Sb. The powder X-ray diffraction pattern is computed, not measured: it uses DFT lattice parameters and positions (GGA-PBE) and CuKα.

Cell and atoms:
```
PmY2Sb
1.0
4.155 0.000 0.000
0.000 12.410 0.000
0.000 0.000 9.591
Pm Y Sb
4 8 4
direct
0.000 0.058 0.250
0.000 0.942 0.750
0.500 0.442 0.750
0.500 0.558 0.250
0.000 0.363 0.044
0.000 0.363 0.456
0.000 0.637 0.544
0.000 0.637 0.956
0.500 0.137 0.544
0.500 0.137 0.956
0.500 0.863 0.044
0.500 0.863 0.456
0.000 0.239 0.750
0.000 0.761 0.250
0.500 0.261 0.250
0.500 0.739 0.750
```

Largest 6 diffraction maxima, sorted by position, 2θ = 5–70°:
2θ = 29.34°, d 3.044, I 100
2θ = 30.49°, d 2.931, I 29
2θ = 31.48°, d 2.842, I 31
2θ = 31.92°, d 2.803, I 100
2θ = 34.43°, d 2.605, I 42
2θ = 57.39°, d 1.606, I 36